No. 1
# Sr2MgSn3Pt2
Theoretical PXRD pattern, Cu Kα (λ = 1.5418 Å). Input: a cell relaxed with PBE.
No peak broadening, texture or thermal motion is included.

Structural model:
Cell: 11.412 4.491 7.694 Å, 90.00 91.04 90.00°
Space group Cm (No. 8)
Inequivalent atoms, fractional coordinates:
Sr 0.000 0.000 0.000 x2
Sr 0.128 0.000 0.494 x2
Mg 0.229 0.500 0.192 x2
Sn 0.208 0.500 0.801 x2
Sn 0.412 0.000 0.298 x2
Sn 0.418 0.000 0.699 x2
Pt 0.276 0.000 0.994 x2
Pt 0.348 0.500 0.505 x2

Peak list (10 most intense, 5° ≤ 2θ ≤ 70°, low angle first)
2theta	d/Å	intensity
15.53	5.705	100
24.31	3.662	44
31.51	2.839	66
31.72	2.821	54
32.83	2.728	54
33.14	2.703	91
33.30	2.691	55
39.14	2.302	48
40.16	2.245	74
41.18	2.192	55

---

No. 2
# TbY2Mg3Pt3
Theoretical PXRD pattern, Cu Kα (λ = 1.5418 Å). Input: a cell relaxed with PBE.
No peak broadening, texture or thermal motion is included.

Structural model:
Cell: 4.083 12.734 7.379 Å, 90.00 90.00 90.00°
Space group Amm2 (No. 38)
Inequivalent atoms, fractional coordinates:
Tb 0.000 0.000 0.000 x2
Y 0.000 0.205 0.615 x4
Mg 0.500 0.000 0.655 x2
Mg 0.500 0.123 0.288 x4
Pt 0.000 0.000 0.410 x2
Pt 0.500 0.166 0.910 x4

Peak list (10 most intense, 5° ≤ 2θ ≤ 70°, low angle first)
2theta	d/Å	intensity
24.16	3.684	69
25.91	3.438	48
32.75	2.734	57
35.73	2.513	100
42.48	2.128	28
43.57	2.077	37
44.37	2.042	23
51.16	1.786	19
63.14	1.473	27
68.12	1.376	17

---

No. 3
# Th4MgPt
Theoretical PXRD pattern, Cu Kα (λ = 1.5418 Å). Input: a cell relaxed with PBE.
No peak broadening, texture or thermal motion is included.

Structural model:
Cell: 5.3373 5.3373 22.8215 Å, 90.00 90.00 120.00°
Space group R-3m (No. 166, hexagonal axes)
Inequivalent atoms, fractional coordinates:
Th 0.0000 0.0000 0.1235 x6
Th 0.0000 0.0000 0.3605 x6
Mg 0.0000 0.0000 0.5000 x3
Pt 0.0000 0.0000 0.0000 x3

Peak list (10 most intense, 5° ≤ 2θ ≤ 70°, low angle first)
2theta	d/Å	intensity
11.63	7.607	19
24.79	3.591	72
33.58	2.669	100
37.03	2.428	62
41.33	2.185	17
42.19	2.142	18
50.85	1.796	26
54.97	1.670	17
60.05	1.541	20
62.32	1.490	28